# LiMnAsO5
Computed PXRD pattern, Cu Kα. Input: a crystal structure in the Materials Project, relaxed with GGA+U.

Principal peaks in the range 10° ≤ 2θ ≤ 90°, in order of falling intensity:
2θ (°)	Rel. int.
27.45	100
29.73	98
18.75	87
18.37	78
34.92	64
26.90	39
27.63	38
25.51	38
25.33	37
26.46	33
34.81	27
35.32	26

Structural model:
a = 5.2935 Å, b = 5.4486 Å, c = 7.0558 Å
α = 105.84°, β = 105.72°, γ = 103.04°
Space group P-1 (No. 2)
One atom of each set of equivalent atoms:
1 Li 0.2123 0.3134 0.2332 [2 per cell]
2 Mn 0.5000 0.0000 0.0000 [1 per cell]
3 Mn 0.5000 0.0000 0.5000 [1 per cell]
4 As 0.1865 0.3413 0.7388 [2 per cell]
5 O 0.1304 0.7975 0.4622 [2 per cell]
6 O 0.1822 0.6634 0.8525 [2 per cell]
7 O 0.2470 0.2021 0.9332 [2 per cell]
8 O 0.3885 0.0357 0.2358 [2 per cell]
9 O 0.4348 0.3428 0.6219 [2 per cell]

---

# LiMnAsO4
Computed PXRD pattern, Cu Kα. Input: a crystal structure in the Materials Project, relaxed with GGA+U.

Principal peaks in the range 10° ≤ 2θ ≤ 90°, in order of falling intensity:
2θ (°)	Rel. int.
33.67	100
19.53	72
28.58	53
21.62	50
34.85	37
35.91	26
53.95	25
39.70	20
24.17	19
58.73	17
22.78	15
46.54	14

Structural model:
a = 10.9159 Å, b = 6.2464 Å, c = 4.9993 Å
α = 90.00°, β = 90.00°, γ = 90.00°
Space group Pnma (No. 62)
One atom of each set of equivalent atoms:
1 Li 0.0000 0.0000 0.0000 [4 per cell]
2 Mn 0.2234 0.2500 0.4898 [4 per cell]
3 As 0.0909 0.7500 0.4290 [4 per cell]
4 O 0.0527 0.2500 0.7150 [4 per cell]
5 O 0.0935 0.7500 0.7710 [4 per cell]
6 O 0.1655 0.5354 0.2782 [8 per cell]

---

# LiVAsO5
Computed PXRD pattern, Cu Kα. Input: a crystal structure in the Materials Project, relaxed with GGA+U.

Principal peaks in the range 10° ≤ 2θ ≤ 90°, in order of falling intensity:
2θ (°)	Rel. int.
26.21	100
27.08	58
37.95	42
29.51	31
16.47	23
55.69	22
21.32	22
31.85	17
69.85	15
55.83	13
62.69	12
38.05	12

Structural model:
a = 7.5867 Å, b = 6.5879 Å, c = 7.6334 Å
α = 90.00°, β = 90.00°, γ = 90.00°
Space group Pnma (No. 62)
One atom of each set of equivalent atoms:
1 Li 0.0000 0.0000 0.0000 [4 per cell]
2 V 0.1686 0.2500 0.2738 [4 per cell]
3 As 0.1250 0.7500 0.3755 [4 per cell]
4 O 0.0648 0.2500 0.5061 [4 per cell]
5 O 0.1142 0.7500 0.8280 [4 per cell]
6 O 0.1280 0.5456 0.2358 [8 per cell]
7 O 0.1860 0.2500 0.0027 [4 per cell]

---

# MgMnAs2O7
Computed PXRD pattern, Cu Kα. Input: a crystal structure in the Materials Project, relaxed with GGA+U.

Principal peaks in the range 10° ≤ 2θ ≤ 90°, in order of falling intensity:
2θ (°)	Rel. int.
27.71	100
28.24	38
33.50	20
20.21	18
54.34	14
34.98	13
50.33	10
59.05	9
45.73	9
22.02	8
18.80	8
45.08	6

Structural model:
a = 7.4114 Å, b = 8.7861 Å, c = 9.7745 Å
α = 90.00°, β = 114.49°, γ = 90.00°
Space group P2_1/c (No. 14)
One atom of each set of equivalent atoms:
1 Mg 0.2246 0.0769 0.1043 [4 per cell]
2 Mn 0.3103 0.0528 0.6764 [4 per cell]
3 As 0.0641 0.7218 0.7509 [4 per cell]
4 As 0.4803 0.7273 0.0428 [4 per cell]
5 O 0.0277 0.5907 0.6121 [4 per cell]
6 O 0.1291 0.2340 0.6967 [4 per cell]
7 O 0.1429 0.6079 0.2221 [4 per cell]
8 O 0.2530 0.6411 0.9183 [4 per cell]
9 O 0.3608 0.2367 0.5431 [4 per cell]
10 O 0.4415 0.6005 0.6062 [4 per cell]
11 O 0.4597 0.0890 0.3224 [4 per cell]

---

# MgMnAsO5
Computed PXRD pattern, Cu Kα. Input: a crystal structure in the Materials Project, relaxed with GGA+U.

Principal peaks in the range 10° ≤ 2θ ≤ 90°, in order of falling intensity:
2θ (°)	Rel. int.
26.59	100
17.88	81
21.04	56
33.23	56
55.85	55
33.11	51
15.07	50
37.96	48
30.40	47
36.36	44
24.42	40
23.42	37

Structural model:
a = 6.0669 Å, b = 8.0439 Å, c = 8.6178 Å
α = 90.00°, β = 90.00°, γ = 90.00°
Space group P2_12_12_1 (No. 19)
One atom of each set of equivalent atoms:
1 Mg 0.0981 0.1587 0.3166 [4 per cell]
2 Mn 0.2404 0.7515 0.4964 [4 per cell]
3 As 0.0259 0.0982 0.6735 [4 per cell]
4 O 0.0073 0.1464 0.0933 [4 per cell]
5 O 0.0146 0.4092 0.9209 [4 per cell]
6 O 0.0910 0.2389 0.5348 [4 per cell]
7 O 0.2139 0.6499 0.7300 [4 per cell]
8 O 0.2403 0.0705 0.8046 [4 per cell]